Diffraction record for CsHg2Sb2S6. The powder diffraction line list is simulated, not measured: it uses a GGA-PBE-relaxed structure and a wavelength of 1.5418 Å.
Lines closer than 0.1° are merged.

Cell and atoms:
a b c (Å): 6.8992 7.2950 8.5940
angles (deg): 113.70 90.41 96.77
Fractional positions:
Cs 0.0000 0.0000 0.0000
Hg 0.4863 0.7315 0.2876
Hg 0.5137 0.2685 0.7124
Sb 0.0229 0.2899 0.5654
Sb 0.9771 0.7101 0.4346
S 0.2033 0.4550 0.3657
S 0.2347 0.4361 0.8303
S 0.2400 0.9595 0.3559
S 0.7600 0.0405 0.6441
S 0.7653 0.5639 0.1697
S 0.7967 0.5450 0.6343

Principal peaks in the range 2θ from 5° to 70°, low angle first:
11.26 deg, intensity 53; 13.55 deg, intensity 64; 19.53 deg, intensity 77; 20.76 deg, intensity 100; 21.11 deg, intensity 50; 26.86 deg, intensity 92